Starting from a crystal structure in the Materials Project, relaxed with GGA-PBE, the powder X-ray diffraction pattern of Rb3TeP2O14 was computed for Cu Kα, 1.54184 Å.

Crystal structure
a = 8.5712 Å, b = 7.0353 Å, c = 12.5436 Å
α = 90.00°, β = 91.39°, γ = 90.00°
Fractional coordinates of all 40 atoms:
1 Rb 0.0000 0.0000 0.0000
2 Rb 0.0000 0.5000 0.5000
3 Rb 0.3289 0.0130 0.6807
4 Rb 0.3289 0.4870 0.1807
5 Rb 0.6711 0.5130 0.8193
6 Rb 0.6711 0.9870 0.3193
7 Te 0.5000 0.0000 0.0000
8 Te 0.5000 0.5000 0.5000
9 P 0.1532 0.5177 0.8348
10 P 0.1532 0.9823 0.3348
11 P 0.8468 0.0177 0.6652
12 P 0.8468 0.4823 0.1652
13 O 0.0113 0.0638 0.3927
14 O 0.0113 0.4362 0.8927
15 O 0.1436 0.7345 0.8170
16 O 0.1436 0.7655 0.3170
17 O 0.1489 0.0987 0.2297
18 O 0.1489 0.4013 0.7297
19 O 0.3123 0.0017 0.3943
20 O 0.3123 0.4983 0.8943
21 O 0.3218 0.1200 0.9315
22 O 0.3218 0.3800 0.4315
23 O 0.3435 0.6862 0.5386
24 O 0.3435 0.8138 0.0386
25 O 0.4433 0.0932 0.1380
26 O 0.4433 0.4068 0.6380
27 O 0.5567 0.5932 0.3620
28 O 0.5567 0.9068 0.8620
29 O 0.6565 0.1862 0.9614
30 O 0.6565 0.3138 0.4614
31 O 0.6782 0.6200 0.5685
32 O 0.6782 0.8800 0.0685
33 O 0.6877 0.5017 0.1057
34 O 0.6877 0.9983 0.6057
35 O 0.8511 0.5987 0.2703
36 O 0.8511 0.9013 0.7703
37 O 0.8564 0.2345 0.6830
38 O 0.8564 0.2655 0.1830
39 O 0.9887 0.5638 0.1073
40 O 0.9887 0.9362 0.6073

The 8 most intense peaks (15° ≤ 2θ ≤ 90°), by intensity:
| 2theta | d/Å | intensity |
| --- | --- | --- |
| 24.8 | 3.594 | 100 |
| 25.2 | 3.532 | 90 |
| 25.3 | 3.518 | 51 |
| 25.5 | 3.498 | 47 |
| 44.2 | 2.047 | 33 |
| 36.2 | 2.480 | 27 |
| 45.0 | 2.015 | 19 |
| 44.6 | 2.034 | 18 |